Diffraction record for Ac2Ga3Cu2. The PXRD pattern is theoretical, not measured: it uses a DFT-relaxed cell (GGA-PBE, Alexandria) and Cu Kα X-rays.
No peak broadening, texture or thermal motion is included.

Most intense lines, 10 to 90 degrees two-theta, by angle:
2θ = 22.03°, 4.034 Å, intensity 22.1, (0 4 1); 2θ = 26.77°, 3.331 Å, intensity 22.4, (1 3 1); 2θ = 31.86°, 2.809 Å, intensity 67.9, (1 1 2); 2θ = 32.58°, 2.749 Å, intensity 100.0, (1 5 1); 2θ = 39.12°, 2.303 Å, intensity 35.9, (2 0 0); 2θ = 41.93°, 2.155 Å, intensity 33.4, (0 4 3); 2θ = 54.90°, 1.672 Å, intensity 23.9, (2 8 0); 2θ = 58.68°, 1.573 Å, intensity 24.7, (2 4 3)

Structure:
a = 4.6048 Å, b = 19.4694 Å, c = 7.2092 Å
α = 90.00°, β = 90.00°, γ = 90.00°
Space group Cmcm (No. 63)
Symmetry-distinct sites (fractional):
Ac  0.0000  0.0582  0.2500 (multiplicity 4)
Ac  0.0000  0.1660  0.7500 (multiplicity 4)
Ga  0.0000  0.2218  0.2500 (multiplicity 4)
Ga  0.0000  0.4406  0.0755 (multiplicity 8)
Cu  0.0000  0.3207  0.5750 (multiplicity 8)


Diffraction record for Ac3Ga5Cu6. The PXRD pattern is theoretical, not measured: it uses a DFT-relaxed cell (GGA-PBE, Alexandria) and Cu Kα X-rays.
No peak broadening, texture or thermal motion is included.

Most intense lines, 10 to 90 degrees two-theta, by angle:
2θ = 21.95°, 4.050 Å, intensity 30.8, (1 1 0); 2θ = 22.24°, 3.996 Å, intensity 23.5, (0 1 3); 2θ = 28.23°, 3.162 Å, intensity 42.1, (1 0 3); 2θ = 34.40°, 2.607 Å, intensity 100.0, (1 2 3); 2θ = 35.35°, 2.539 Å, intensity 49.4, (1 3 0); 2θ = 35.54°, 2.526 Å, intensity 38.1, (0 3 3); 2θ = 39.99°, 2.254 Å, intensity 44.0, (2 0 0); 2θ = 54.56°, 1.682 Å, intensity 22.6, (2 3 3)

Structure:
a = 4.5086 Å, b = 9.2199 Å, c = 13.3041 Å
α = 90.00°, β = 90.00°, γ = 90.00°
Space group Immm (No. 71)
Symmetry-distinct sites (fractional):
Ac  0.0000  0.0000  0.0000 (multiplicity 2)
Ac  0.0000  0.0000  0.3060 (multiplicity 4)
Ga  0.0000  0.3493  0.3372 (multiplicity 8)
Ga  0.0000  0.5000  0.0000 (multiplicity 2)
Cu  0.0000  0.2042  0.5000 (multiplicity 4)
Cu  0.0000  0.2804  0.1258 (multiplicity 8)